Computed PXRD pattern
Compound: NaPuReO6
Radiation: copper Kα
Structure: a cell relaxed with PBE
Lines closer than 0.1° are merged.

Atomic structure:
Unit cell a=5.5116 b=5.5116 c=10.0885 alpha=90.00 beta=90.00 gamma=120.00
Atoms (fractional coordinates):
Na (0.0000, 0.0000, 0.0000)
Na (0.0000, 0.0000, 0.5000)
Pu (0.3333, 0.6667, 0.2500)
Pu (0.6667, 0.3333, 0.7500)
Re (0.3333, 0.6667, 0.7500)
Re (0.6667, 0.3333, 0.2500)
O (0.0337, 0.3877, 0.6442)
O (0.0337, 0.6460, 0.8558)
O (0.3540, 0.3877, 0.8558)
O (0.3540, 0.9663, 0.6442)
O (0.3877, 0.0337, 0.1442)
O (0.3877, 0.3540, 0.3558)
O (0.6123, 0.6460, 0.6442)
O (0.6123, 0.9663, 0.8558)
O (0.6460, 0.0337, 0.3558)
O (0.6460, 0.6123, 0.1442)
O (0.9663, 0.3540, 0.1442)
O (0.9663, 0.6123, 0.3558)

The 12 most intense peaks (10° ≤ 2θ ≤ 80°), by angle:
2θ = 17.58°, 5.044 Å, I 1000, hkl 0 0 2
2θ = 18.59°, 4.773 Å, I 590, hkl 1 0 0
2θ = 25.70°, 3.467 Å, I 788, hkl 1 0 2
2θ = 32.49°, 2.756 Å, I 624, hkl 1 1 0
2θ = 37.18°, 2.418 Å, I 824, hkl 1 1 2
2θ = 41.88°, 2.157 Å, I 202, hkl 2 0 2
2θ = 48.96°, 1.861 Å, I 582, hkl 1 1 4
2θ = 53.98°, 1.699 Å, I 205, hkl 2 1 2
2θ = 57.97°, 1.591 Å, I 198, hkl 3 0 0
2θ = 61.07°, 1.517 Å, I 220, hkl 3 0 2
2θ = 64.97°, 1.435 Å, I 193, hkl 2 -1 6
2θ = 69.90°, 1.346 Å, I 138, hkl 3 0 4